Tb3Y8Ho4: theoretical X-ray diffraction stick pattern (Cu Kα, 1.54184 Å), based on a GGA-PBE-relaxed structure.
No peak broadening, texture or thermal motion is included.

Unit cell a=12.400 b=12.400 c=12.400 alpha=32.54 beta=32.54 gamma=32.54
Fractional positions:
Tb  0.000  0.500  0.500
Tb  0.500  0.000  0.500
Tb  0.500  0.500  0.000
Y  0.251  0.251  0.749
Y  0.251  0.749  0.251
Y  0.251  0.749  0.749
Y  0.255  0.255  0.255
Y  0.745  0.745  0.745
Y  0.749  0.251  0.251
Y  0.749  0.251  0.749
Y  0.749  0.749  0.251
Ho  0.000  0.000  0.000
Ho  0.164  0.164  0.164
Ho  0.500  0.500  0.500
Ho  0.836  0.836  0.836

Largest 8 diffraction maxima, by intensity, 10 to 80 degrees two-theta:
Position (°2θ)	d [Å]	Rel. int.
31.4	2.847	100
36.2	2.484	74
30.5	2.933	67
29.9	2.993	56
62.1	1.495	52
52.7	1.737	44
26.8	3.331	36
34.5	2.597	24

Tb2Y9Ho3: theoretical X-ray diffraction stick pattern (Cu Kα, 1.54184 Å), based on a GGA-PBE-relaxed structure.
No peak broadening, texture or thermal motion is included.

Unit cell a=5.028 b=9.419 c=10.679 alpha=104.60 beta=103.57 gamma=105.46
Fractional positions:
Tb  0.000  0.000  0.000
Tb  0.284  0.213  0.356
Y  0.000  0.501  0.498
Y  0.286  0.714  0.858
Y  0.428  0.072  0.785
Y  0.428  0.572  0.285
Y  0.571  0.428  0.714
Y  0.713  0.284  0.141
Y  0.714  0.786  0.642
Y  0.856  0.142  0.569
Y  0.857  0.643  0.071
Ho  0.142  0.356  0.928
Ho  0.142  0.858  0.427
Ho  0.572  0.929  0.214

Largest 8 diffraction maxima, by intensity, 10 to 80 degrees two-theta:
Position (°2θ)	d [Å]	Rel. int.
30.8	2.905	100
51.3	1.780	47
35.7	2.518	45
61.0	1.518	42
30.7	2.908	34
35.7	2.514	22
61.1	1.516	14
64.1	1.453	12

Tb3Y2Ho4: theoretical X-ray diffraction stick pattern (Cu Kα, 1.54184 Å), based on a GGA-PBE-relaxed structure.
No peak broadening, texture or thermal motion is included.

Unit cell a=9.973 b=9.973 c=6.092 alpha=95.03 beta=95.03 gamma=70.61
Fractional positions:
Tb  0.099  0.901  0.750
Tb  0.238  0.430  0.914
Tb  0.430  0.238  0.414
Tb  0.570  0.762  0.586
Tb  0.762  0.570  0.086
Tb  0.901  0.099  0.250
Y  0.018  0.739  0.182
Y  0.261  0.982  0.318
Y  0.739  0.018  0.682
Y  0.982  0.261  0.818
Ho  0.072  0.356  0.346
Ho  0.314  0.594  0.486
Ho  0.356  0.072  0.846
Ho  0.406  0.686  0.014
Ho  0.594  0.314  0.986
Ho  0.644  0.928  0.154
Ho  0.686  0.406  0.514
Ho  0.928  0.644  0.654

Largest 8 diffraction maxima, by intensity, 10 to 80 degrees two-theta:
Position (°2θ)	d [Å]	Rel. int.
31.9	2.804	100
30.4	2.936	64
30.9	2.895	60
31.0	2.882	46
37.8	2.382	31
38.1	2.360	29
56.2	1.636	21
55.7	1.649	20

Tb2Y5Ho4: theoretical X-ray diffraction stick pattern (Cu Kα, 1.54184 Å), based on a GGA-PBE-relaxed structure.
No peak broadening, texture or thermal motion is included.

Unit cell a=11.785 b=11.785 c=8.706 alpha=104.06 beta=104.06 gamma=17.31
Fractional positions:
Tb  0.090  0.090  0.225
Tb  0.910  0.910  0.775
Y  0.000  0.000  0.500
Y  0.273  0.273  0.684
Y  0.363  0.363  0.409
Y  0.637  0.637  0.591
Y  0.727  0.727  0.316
Ho  0.182  0.182  0.954
Ho  0.454  0.454  0.135
Ho  0.546  0.546  0.865
Ho  0.818  0.818  0.046

Largest 8 diffraction maxima, by intensity, 10 to 80 degrees two-theta:
Position (°2θ)	d [Å]	Rel. int.
30.8	2.900	100
35.8	2.509	33
61.3	1.513	28
51.4	1.777	24
35.7	2.518	17
61.1	1.517	14
64.2	1.450	12
51.5	1.774	12